Theoretical XRD peak list
Compound: NdEr3Sc3
Radiation: CuKα
Structure: DFT lattice parameters and positions (PBE)
Intensities are scaled so that the largest is 1000.

Atomic structure:
Cell: 8.3100 8.3100 20.9102 Å, 90.00 90.00 120.00°
Space group R-3 (No. 148, hexagonal axes)
Asymmetric unit:
Nd  0.0000  0.0000  0.1502
Er  0.0552  0.6055  0.3800
Sc  0.0058  0.7810  0.5575

Most intense lines, 10 to 80 degrees two-theta, in order of rising 2θ:
- 2θ = 14.9°, d = 5.928 Å, I 232, (0 1 2)
- 2θ = 24.9°, d = 3.569 Å, I 843, (2 -1 3)
- 2θ = 30.2°, d = 2.964 Å, I 632, (0 2 4)
- 2θ = 32.5°, d = 2.759 Å, I 362, (1 0 7)
- 2θ = 32.8°, d = 2.728 Å, I 204, (2 0 5)
- 2θ = 33.2°, d = 2.697 Å, I 1000, (3 -1 1)
- 2θ = 33.6°, d = 2.670 Å, I 728, (1 1 6)
- 2θ = 34.1°, d = 2.632 Å, I 413, (1 2 2)
- 2θ = 46.3°, d = 1.961 Å, I 191, (3 1 2)
- 2θ = 55.4°, d = 1.659 Å, I 406, (4 -3 7)

***

Theoretical XRD peak list
Compound: Tl2Ag14Se9
Radiation: CuKα
Structure: DFT lattice parameters and positions (PBE)
Intensities are scaled so that the largest is 1000.

Atomic structure:
Cell: 7.7124 8.0441 10.4700 Å, 85.67 89.96 66.52°
Space group P-1 (No. 2)
Asymmetric unit:
Tl  0.0999  0.2046  0.1863
Ag  0.1499  0.7580  0.4057
Ag  0.1555  0.0323  0.9189
Ag  0.1878  0.4133  0.5806
Ag  0.3187  0.4688  0.0388
Ag  0.4104  0.5249  0.7616
Ag  0.4519  0.8482  0.5467
Ag  0.4981  0.8687  0.1089
Se  0.1516  0.3968  0.8380
Se  0.1595  0.1485  0.4651
Se  0.2068  0.7762  0.1529
Se  0.4672  0.8284  0.8070
Se  0.5000  0.5000  0.5000

Most intense lines, 10 to 80 degrees two-theta, in order of rising 2θ:
- 2θ = 25.6°, d = 3.478 Å, I 1000, (0 0 3)
- 2θ = 28.5°, d = 3.130 Å, I 607, (1 1 3)
- 2θ = 28.8°, d = 3.099 Å, I 544, (2 2 -1)
- 2θ = 32.2°, d = 2.784 Å, I 669, (2 -1 0)
- 2θ = 36.2°, d = 2.484 Å, I 626, (3 1 1)
- 2θ = 36.7°, d = 2.451 Å, I 579, (0 3 0)
- 2θ = 38.2°, d = 2.357 Å, I 643, (3 0 0)
- 2θ = 40.7°, d = 2.215 Å, I 593, (0 2 4)
- 2θ = 41.7°, d = 2.167 Å, I 700, (1 -1 4)
- 2θ = 42.0°, d = 2.150 Å, I 587, (2 1 -4)

***

Theoretical XRD peak list
Compound: HoBO3
Radiation: CuKα
Structure: DFT lattice parameters and positions (PBE)
Intensities are scaled so that the largest is 1000.

Atomic structure:
Cell: 8.4214 6.4764 4.4046 Å, 90.00 90.00 90.00°
Space group Ama2 (No. 40)
Asymmetric unit:
Ho  0.0000  0.0000  0.0000
B  0.2500  0.1389  0.5514
O  0.1027  0.1729  0.4171
O  0.2500  0.0755  0.8496

Most intense lines, 10 to 80 degrees two-theta, in order of rising 2θ:
- 2θ = 21.1°, d = 4.211 Å, I 632, (2 0 0)
- 2θ = 24.4°, d = 3.642 Å, I 980, (0 1 1)
- 2θ = 27.5°, d = 3.238 Å, I 361, (0 2 0)
- 2θ = 32.5°, d = 2.755 Å, I 1000, (2 1 1)
- 2θ = 35.0°, d = 2.567 Å, I 377, (2 2 0)
- 2θ = 46.5°, d = 1.952 Å, I 210, (2 0 2)
- 2θ = 46.9°, d = 1.938 Å, I 287, (0 3 1)
- 2θ = 50.1°, d = 1.822 Å, I 527, (4 1 1)
- 2θ = 51.9°, d = 1.761 Å, I 293, (2 3 1)
- 2θ = 54.9°, d = 1.671 Å, I 253, (2 2 2)

***

Theoretical XRD peak list
Compound: Tb5SmHo4
Radiation: CuKα
Structure: DFT lattice parameters and positions (PBE)
Intensities are scaled so that the largest is 1000.

Atomic structure:
Cell: 6.1496 7.1064 7.9332 Å, 77.20 74.98 73.10°
Space group P1 (No. 1)
Asymmetric unit:
Tb  0.0000  0.0000  0.0000
Tb  0.1986  0.3017  0.5987
Tb  0.3993  0.1005  0.1995
Tb  0.5996  0.9005  0.7992
Tb  0.7992  0.2009  0.3991
Sm  0.5985  0.4015  0.7995
Ho  0.1987  0.8013  0.5983
Ho  0.3987  0.6015  0.1999
Ho  0.7990  0.7013  0.3989
Ho  0.9989  0.5014  0.0003

Most intense lines, 10 to 80 degrees two-theta, in order of rising 2θ:
- 2θ = 30.8°, d = 2.899 Å, I 1000, (2 0 1)
- 2θ = 35.7°, d = 2.512 Å, I 338, (2 2 0)
- 2θ = 35.8°, d = 2.506 Å, I 168, (-1 2 1)
- 2θ = 51.4°, d = 1.776 Å, I 241, (3 2 3)
- 2θ = 51.6°, d = 1.773 Å, I 120, (0 2 4)
- 2θ = 61.1°, d = 1.517 Å, I 36, (2 4 -1)
- 2θ = 61.2°, d = 1.515 Å, I 143, (4 2 1)
- 2θ = 61.3°, d = 1.513 Å, I 214, (3 0 4)
- 2θ = 61.4°, d = 1.511 Å, I 35, (-2 2 3)
- 2θ = 64.3°, d = 1.449 Å, I 92, (4 0 2)

***

Theoretical XRD peak list
Compound: NiAgSe2
Radiation: CuKα
Structure: DFT lattice parameters and positions (PBE)
Intensities are scaled so that the largest is 1000.

Atomic structure:
Cell: 7.8187 3.4751 11.4755 Å, 90.00 90.56 90.00°
Space group P2_1/c (No. 14)
Asymmetric unit:
Ni  0.1862  0.0102  0.2252
Ag  0.4547  0.5078  0.3518
Se  0.1120  0.5102  0.3541
Se  0.2814  0.5105  0.0961

Most intense lines, 10 to 80 degrees two-theta, in order of rising 2θ:
- 2θ = 15.4°, d = 5.737 Å, I 702, (0 0 2)
- 2θ = 31.2°, d = 2.869 Å, I 480, (0 0 4)
- 2θ = 34.9°, d = 2.572 Å, I 886, (0 1 3)
- 2θ = 35.4°, d = 2.537 Å, I 668, (2 1 -1)
- 2θ = 36.7°, d = 2.448 Å, I 358, (1 1 -3)
- 2θ = 36.9°, d = 2.438 Å, I 763, (1 1 3)
- 2θ = 38.1°, d = 2.364 Å, I 1000, (3 0 2)
- 2θ = 44.1°, d = 2.054 Å, I 622, (3 1 -1)
- 2θ = 52.7°, d = 1.738 Å, I 408, (0 2 0)
- 2θ = 66.8°, d = 1.400 Å, I 354, (3 2 2)

***

Theoretical XRD peak list
Compound: Pm2ZrUP4
Radiation: CuKα
Structure: DFT lattice parameters and positions (PBE)
Intensities are scaled so that the largest is 1000.

Atomic structure:
Cell: 6.8434 3.9606 6.9230 Å, 90.00 109.08 90.00°
Space group P2/m (No. 10)
Asymmetric unit:
Pm  0.0000  0.0000  0.0000
Pm  0.5000  0.5000  0.0000
Zr  0.0000  0.5000  0.5000
U  0.5000  0.0000  0.5000
P  0.2402  0.0000  0.7279
P  0.2519  0.5000  0.2691

Most intense lines, 10 to 80 degrees two-theta, in order of rising 2θ:
- 2θ = 27.3°, d = 3.271 Å, I 330, (0 0 2)
- 2θ = 27.6°, d = 3.234 Å, I 947, (2 0 0)
- 2θ = 31.8°, d = 2.812 Å, I 1000, (1 1 1)
- 2θ = 31.9°, d = 2.803 Å, I 495, (2 0 -2)
- 2θ = 45.5°, d = 1.995 Å, I 544, (2 0 2)
- 2θ = 45.9°, d = 1.978 Å, I 540, (0 2 0)
- 2θ = 54.1°, d = 1.694 Å, I 209, (3 1 1)
- 2θ = 54.3°, d = 1.689 Å, I 206, (3 1 -3)
- 2θ = 56.9°, d = 1.617 Å, I 282, (4 0 0)
- 2θ = 75.9°, d = 1.253 Å, I 164, (4 2 0)

***

Theoretical XRD peak list
Compound: BeGePd
Radiation: CuKα
Structure: DFT lattice parameters and positions (PBE)
Intensities are scaled so that the largest is 1000.

Atomic structure:
Cell: 4.3069 4.6073 4.6959 Å, 83.82 65.51 88.66°
Space group P1 (No. 1)
Asymmetric unit:
Be  0.0000  0.0000  0.0000
Be  0.4053  0.7332  0.1388
Ge  0.3053  0.1915  0.4384
Ge  0.8729  0.7347  0.6314
Pd  0.5554  0.2142  0.8457
Pd  0.8988  0.4931  0.1722

Most intense lines, 10 to 80 degrees two-theta, in order of rising 2θ:
- 2θ = 19.4°, d = 4.579 Å, I 471, (0 1 0)
- 2θ = 29.7°, d = 3.013 Å, I 1000, (1 -1 0)
- 2θ = 30.2°, d = 2.960 Å, I 288, (0 1 -1)
- 2θ = 30.4°, d = 2.943 Å, I 522, (1 1 0)
- 2θ = 37.1°, d = 2.423 Å, I 240, (1 0 -1)
- 2θ = 39.0°, d = 2.312 Å, I 725, (1 0 2)
- 2θ = 42.0°, d = 2.150 Å, I 279, (2 0 1)
- 2θ = 43.6°, d = 2.077 Å, I 346, (1 1 -1)
- 2θ = 44.8°, d = 2.022 Å, I 340, (1 2 1)
- 2θ = 45.1°, d = 2.011 Å, I 416, (0 1 2)

***

Theoretical XRD peak list
Compound: Nb8Al
Radiation: CuKα
Structure: DFT lattice parameters and positions (PBE)
Intensities are scaled so that the largest is 1000.

Atomic structure:
Cell: 4.6377 9.8717 14.1699 Å, 90.00 90.00 90.00°
Space group Fmmm (No. 69)
Asymmetric unit:
Nb  0.0000  0.0000  0.1613
Nb  0.0000  0.1655  0.3334
Nb  0.0000  0.1719  0.0000
Al  0.0000  0.0000  0.5000

Most intense lines, 10 to 80 degrees two-theta, in order of rising 2θ:
- 2θ = 12.5°, d = 7.085 Å, I 20, (0 0 2)
- 2θ = 22.1°, d = 4.025 Å, I 31, (1 1 1)
- 2θ = 38.1°, d = 2.362 Å, I 258, (0 0 6)
- 2θ = 38.6°, d = 2.333 Å, I 1000, (1 3 3)
- 2θ = 38.8°, d = 2.319 Å, I 246, (2 0 0)
- 2θ = 55.5°, d = 1.655 Å, I 168, (2 0 6)
- 2θ = 55.9°, d = 1.645 Å, I 83, (0 6 0)
- 2θ = 69.2°, d = 1.358 Å, I 168, (1 3 9)
- 2θ = 69.6°, d = 1.350 Å, I 82, (0 6 6)
- 2θ = 70.1°, d = 1.342 Å, I 245, (3 3 3)

***

Repeat the third record exactly.
Theoretical XRD peak list
Compound: HoBO3
Radiation: CuKα
Structure: DFT lattice parameters and positions (PBE)
Intensities are scaled so that the largest is 1000.

Atomic structure:
Cell: 8.4214 6.4764 4.4046 Å, 90.00 90.00 90.00°
Space group Ama2 (No. 40)
Asymmetric unit:
Ho  0.0000  0.0000  0.0000
B  0.2500  0.1389  0.5514
O  0.1027  0.1729  0.4171
O  0.2500  0.0755  0.8496

Most intense lines, 10 to 80 degrees two-theta, in order of rising 2θ:
- 2θ = 21.1°, d = 4.211 Å, I 632, (2 0 0)
- 2θ = 24.4°, d = 3.642 Å, I 980, (0 1 1)
- 2θ = 27.5°, d = 3.238 Å, I 361, (0 2 0)
- 2θ = 32.5°, d = 2.755 Å, I 1000, (2 1 1)
- 2θ = 35.0°, d = 2.567 Å, I 377, (2 2 0)
- 2θ = 46.5°, d = 1.952 Å, I 210, (2 0 2)
- 2θ = 46.9°, d = 1.938 Å, I 287, (0 3 1)
- 2θ = 50.1°, d = 1.822 Å, I 527, (4 1 1)
- 2θ = 51.9°, d = 1.761 Å, I 293, (2 3 1)
- 2θ = 54.9°, d = 1.671 Å, I 253, (2 2 2)